Structure and theoretical X-ray powder pattern of ErTm5Th4 (a DFT-relaxed cell (GGA-PBE, Alexandria); Cu Kα, 1.54184 Å).
Intensities are scaled so that the largest is 100.

Atomic structure:
Lattice parameters (Å, degrees): 3.4509 9.0745 10.5853 94.87 90.03 100.88
Space group P-1 (No. 2)
Asymmetric unit:
Er: 0.0000 0.0000 0.0000
Tm: 0.0000 0.0000 0.5000
Tm: 0.3116 0.6231 0.4075
Tm: 0.3492 0.7017 0.7585
Th: 0.1830 0.3647 0.9156
Th: 0.4610 0.9232 0.2482

Principal peaks in the range 15° ≤ 2θ ≤ 90°, low angle first:
2theta	intensity	index
30.2	32	0 3 0
31.1	37	0 2 -3
31.5	23	1 1 1
31.6	100	-1 1 2
32.1	19	0 3 1
33.9	32	0 2 3
36.8	47	1 2 -1
48.9	20	-1 4 2